[1]
Structure and simulated powder XRD pattern of Nd3NbSb5 (DFT lattice parameters and positions (GGA-PBE); Cu Ka).
Kinematic intensities with the Lorentz-polarization factor, no thermal factor.

Top 10 peaks for 15 to 90 degrees two-theta, low angle first:
| d [Å] | two_theta | I/Imax |
| --- | --- | --- |
| 3.112 | 28.69 | 19 |
| 2.780 | 32.20 | 76 |
| 2.739 | 32.69 | 88 |
| 2.604 | 34.44 | 100 |
| 2.140 | 42.22 | 16 |
| 1.887 | 48.22 | 29 |
| 1.804 | 50.58 | 13 |
| 1.726 | 53.05 | 18 |
| 1.554 | 59.49 | 18 |
| 1.354 | 69.42 | 19 |

Atomic structure:
```
18
Lattice="9.489 0.000 0.000 -4.744 8.218 0.000 0.000 0.000 6.230" Properties=species:S:1:pos:R:3 pbc="T T T"
Nd -1.803 3.122 1.557
Nd -2.942 5.095 4.672
Nd 3.605 0.000 1.557
Nd 1.803 3.122 4.672
Nd 5.883 0.000 4.672
Nd 2.942 5.095 1.557
Nb 0.000 0.000 0.000
Nb 0.000 0.000 3.115
Sb -1.234 2.137 4.672
Sb -3.511 6.081 1.557
Sb 2.468 0.000 4.672
Sb 1.234 2.137 1.557
Sb 0.000 5.478 0.000
Sb 0.000 5.478 3.115
Sb 4.744 2.739 0.000
Sb 4.744 2.739 3.115
Sb 7.021 0.000 1.557
Sb 3.511 6.081 4.672
```



[2]
Structure and simulated powder XRD pattern of Er4TaC4 (DFT lattice parameters and positions (GGA-PBE); Cu Ka).
Kinematic intensities with the Lorentz-polarization factor, no thermal factor.

Top 10 peaks for 15 to 90 degrees two-theta, low angle first:
| d [Å] | two_theta | I/Imax |
| --- | --- | --- |
| 2.850 | 31.38 | 40 |
| 2.822 | 31.70 | 42 |
| 2.804 | 31.91 | 82 |
| 2.442 | 36.80 | 100 |
| 1.733 | 52.82 | 22 |
| 1.721 | 53.23 | 23 |
| 1.713 | 53.51 | 12 |
| 1.470 | 63.26 | 17 |
| 1.464 | 63.54 | 12 |
| 1.402 | 66.71 | 12 |

Atomic structure:
```
9
Lattice="5.745 -1.713 0.000 5.745 1.713 0.000 -4.276 0.000 7.405" Properties=species:S:1:pos:R:3 pbc="T T T"
Er -0.417 0.000 2.858
Er 2.607 0.000 1.375
Er 4.607 0.000 6.030
Er 7.632 0.000 4.547
Ta 5.745 0.000 0.000
C -2.863 0.000 6.722
C 0.487 0.000 5.302
C 6.728 0.000 2.103
C 10.078 0.000 0.683
```



[3]
Structure and simulated powder XRD pattern of TbNb4S8 (DFT lattice parameters and positions (GGA-PBE); Cu Ka).
Kinematic intensities with the Lorentz-polarization factor, no thermal factor.

Top 10 peaks for 15 to 90 degrees two-theta, low angle first:
| d [Å] | two_theta | I/Imax |
| --- | --- | --- |
| 5.413 | 16.38 | 100 |
| 3.625 | 24.56 | 35 |
| 2.997 | 29.81 | 78 |
| 2.763 | 32.40 | 30 |
| 2.706 | 33.10 | 67 |
| 2.279 | 39.54 | 58 |
| 2.263 | 39.83 | 69 |
| 2.201 | 41.01 | 95 |
| 2.157 | 41.89 | 39 |
| 1.716 | 53.41 | 47 |

Atomic structure:
```
13
Lattice="5.927 -3.476 0.000 5.927 3.476 0.000 -5.555 0.000 6.683" Properties=species:S:1:pos:R:3 pbc="T T T"
Tb 0.000 0.000 0.000
Nb 0.450 0.000 3.398
Nb 3.149 1.433 3.342
Nb 3.149 -1.433 3.342
Nb 5.848 0.000 3.285
S -3.770 0.000 4.618
S -0.800 1.721 4.893
S 4.101 0.000 1.573
S 7.099 1.721 1.790
S -0.800 -1.721 4.893
S 2.198 0.000 5.110
S 7.099 -1.721 1.790
S 10.069 0.000 2.065
```



Repeat the first record exactly.
Structure and simulated powder XRD pattern of Nd3NbSb5 (DFT lattice parameters and positions (GGA-PBE); Cu Ka).
Kinematic intensities with the Lorentz-polarization factor, no thermal factor.

Top 10 peaks for 15 to 90 degrees two-theta, low angle first:
| d [Å] | two_theta | I/Imax |
| --- | --- | --- |
| 3.112 | 28.69 | 19 |
| 2.780 | 32.20 | 76 |
| 2.739 | 32.69 | 88 |
| 2.604 | 34.44 | 100 |
| 2.140 | 42.22 | 16 |
| 1.887 | 48.22 | 29 |
| 1.804 | 50.58 | 13 |
| 1.726 | 53.05 | 18 |
| 1.554 | 59.49 | 18 |
| 1.354 | 69.42 | 19 |

Atomic structure:
```
18
Lattice="9.489 0.000 0.000 -4.744 8.218 0.000 0.000 0.000 6.230" Properties=species:S:1:pos:R:3 pbc="T T T"
Nd -1.803 3.122 1.557
Nd -2.942 5.095 4.672
Nd 3.605 0.000 1.557
Nd 1.803 3.122 4.672
Nd 5.883 0.000 4.672
Nd 2.942 5.095 1.557
Nb 0.000 0.000 0.000
Nb 0.000 0.000 3.115
Sb -1.234 2.137 4.672
Sb -3.511 6.081 1.557
Sb 2.468 0.000 4.672
Sb 1.234 2.137 1.557
Sb 0.000 5.478 0.000
Sb 0.000 5.478 3.115
Sb 4.744 2.739 0.000
Sb 4.744 2.739 3.115
Sb 7.021 0.000 1.557
Sb 3.511 6.081 4.672
```



Q: Number 2 is which compound?
A: Er4TaC4



Please write out number 1 again, unchanged.
Structure and simulated powder XRD pattern of Nd3NbSb5 (DFT lattice parameters and positions (GGA-PBE); Cu Ka).
Kinematic intensities with the Lorentz-polarization factor, no thermal factor.

Top 10 peaks for 15 to 90 degrees two-theta, low angle first:
| d [Å] | two_theta | I/Imax |
| --- | --- | --- |
| 3.112 | 28.69 | 19 |
| 2.780 | 32.20 | 76 |
| 2.739 | 32.69 | 88 |
| 2.604 | 34.44 | 100 |
| 2.140 | 42.22 | 16 |
| 1.887 | 48.22 | 29 |
| 1.804 | 50.58 | 13 |
| 1.726 | 53.05 | 18 |
| 1.554 | 59.49 | 18 |
| 1.354 | 69.42 | 19 |

Atomic structure:
```
18
Lattice="9.489 0.000 0.000 -4.744 8.218 0.000 0.000 0.000 6.230" Properties=species:S:1:pos:R:3 pbc="T T T"
Nd -1.803 3.122 1.557
Nd -2.942 5.095 4.672
Nd 3.605 0.000 1.557
Nd 1.803 3.122 4.672
Nd 5.883 0.000 4.672
Nd 2.942 5.095 1.557
Nb 0.000 0.000 0.000
Nb 0.000 0.000 3.115
Sb -1.234 2.137 4.672
Sb -3.511 6.081 1.557
Sb 2.468 0.000 4.672
Sb 1.234 2.137 1.557
Sb 0.000 5.478 0.000
Sb 0.000 5.478 3.115
Sb 4.744 2.739 0.000
Sb 4.744 2.739 3.115
Sb 7.021 0.000 1.557
Sb 3.511 6.081 4.672
```